No. 1
Starting from DFT lattice parameters and positions (GGA-PBE), the powder XRD pattern of Ce2Nd3N3 was simulated for Cu Kα (λ = 1.5418 Å).
Neutral-atom scattering factors, no anomalous dispersion.

The 12 most intense peaks (15° ≤ 2θ ≤ 90°), in order of falling intensity:
d/Å	Rel. int.
2.925	100
2.873	41
2.987	41
3.453	36
2.177	27
2.355	25
1.666	22
2.939	21
1.500	17
1.418	14
1.758	14
2.887	13

Structure:
a b c (Å): 3.5153 17.9236 11.2292
angles (deg): 90.00 90.00 90.00
Space group Cmcm (No. 63)
Asymmetric unit:
Ce 0.0000 0.2293 0.1281
Nd 0.0000 0.0904 0.5964
Nd 0.0000 0.4300 0.7500
N 0.0000 0.3252 0.5173
N 0.0000 0.4336 0.2500

=====

No. 2
Starting from DFT lattice parameters and positions (GGA-PBE), the powder XRD pattern of CeNd4N4 was simulated for Cu Kα (λ = 1.5418 Å).
Neutral-atom scattering factors, no anomalous dispersion.

The 12 most intense peaks (15° ≤ 2θ ≤ 90°), in order of falling intensity:
d/Å	Rel. int.
2.583	100
2.967	73
2.990	37
3.007	36
1.822	23
1.830	22
1.555	16
1.563	15
1.484	12
1.813	12
1.842	11
1.550	11

Structure:
a b c (Å): 12.1680 3.6255 9.0223
angles (deg): 90.00 119.98 90.00
Space group C2/m (No. 12)
Asymmetric unit:
Ce 0.0000 0.0000 0.0000
Nd 0.1070 0.5000 0.3863
Nd 0.2054 0.0000 0.8113
N 0.0979 0.5000 0.9090
N 0.1958 0.0000 0.2986

=====

No. 3
Starting from DFT lattice parameters and positions (GGA-PBE), the powder XRD pattern of Ce4NdN5 was simulated for Cu Kα (λ = 1.5418 Å).
Neutral-atom scattering factors, no anomalous dispersion.

The 12 most intense peaks (15° ≤ 2θ ≤ 90°), in order of falling intensity:
d/Å	Rel. int.
2.927	100
2.539	50
1.791	34
1.530	30
2.527	25
1.795	17
1.463	17
1.525	15
1.162	13
1.135	8
1.134	8
1.131	8

Structure:
a b c (Å): 3.5907 3.5907 25.2656
angles (deg): 90.00 90.00 90.00
Space group I4/mmm (No. 139)
Asymmetric unit:
Ce 0.0000 0.0000 0.1005
Ce 0.0000 0.0000 0.2997
Nd 0.0000 0.0000 0.5000
N 0.0000 0.0000 0.0000
N 0.0000 0.0000 0.1998
N 0.0000 0.0000 0.3979

=====

No. 4
Starting from DFT lattice parameters and positions (GGA-PBE), the powder XRD pattern of Ce2NdNpN4 was simulated for Cu Kα (λ = 1.5418 Å).
Neutral-atom scattering factors, no anomalous dispersion.

The 12 most intense peaks (15° ≤ 2θ ≤ 90°), in order of falling intensity:
d/Å	Rel. int.
2.907	100
2.517	71
1.780	49
1.519	30
1.453	17
1.516	15
1.126	15
1.155	13
1.124	7
4.505	7
1.156	6
1.260	5

Structure:
a b c (Å): 5.0390 5.0390 10.0526
angles (deg): 90.00 90.00 90.00
Space group I-4m2 (No. 119)
Asymmetric unit:
Ce 0.0000 0.0000 0.0000
Ce 0.0000 0.5000 0.2500
Nd 0.0000 0.5000 0.7500
Np 0.0000 0.0000 0.5000
N 0.0000 0.0000 0.2650
N 0.0000 0.5000 0.0055

=====

No. 5
Starting from DFT lattice parameters and positions (GGA-PBE), the powder XRD pattern of Ce2Nd4Pb3N2 was simulated for Cu Kα (λ = 1.5418 Å).
Neutral-atom scattering factors, no anomalous dispersion.

The 12 most intense peaks (15° ≤ 2θ ≤ 90°), in order of falling intensity:
d/Å	Rel. int.
2.714	100
2.460	51
1.464	34
3.361	30
1.739	18
4.834	16
3.068	14
1.788	13
1.627	12
3.256	11
1.962	11
1.474	10

Structure:
a b c (Å): 4.9191 4.9191 26.0450
angles (deg): 90.00 90.00 90.00
Space group I4/mmm (No. 139)
Asymmetric unit:
Ce 0.0000 0.0000 0.1914
Nd 0.0000 0.5000 0.0841
Pb 0.0000 0.0000 0.3211
Pb 0.0000 0.0000 0.5000
N 0.0000 0.0000 0.1079

=====

No. 6
Starting from DFT lattice parameters and positions (GGA-PBE), the powder XRD pattern of Ce2PrNdN4 was simulated for Cu Kα (λ = 1.5418 Å).
Neutral-atom scattering factors, no anomalous dispersion.

The 8 most intense peaks (15° ≤ 2θ ≤ 90°), in order of falling intensity:
d/Å	Rel. int.
2.950	100
2.555	75
1.807	52
1.541	46
1.143	23
1.172	19
1.475	17
1.277	8

Structure:
a b c (Å): 6.2545 3.6134 6.2603
angles (deg): 90.00 109.44 90.00
Space group P2/m (No. 10)
Asymmetric unit:
Ce 0.0000 0.0000 0.0000
Ce 0.5000 0.5000 0.0000
Pr 0.0000 0.5000 0.5000
Nd 0.5000 0.0000 0.5000
N 0.2456 0.5000 0.2323
N 0.2577 0.0000 0.7693